Starting from a cell relaxed with PBE, the powder XRD pattern of CeH2Br3 was computed for a wavelength of 1.5418 Å.
Neutral-atom scattering factors, no anomalous dispersion.

```
12
Lattice="8.006 0.000 0.000 -4.003 6.934 0.000 0.000 0.000 7.817" Properties=species:S:1:pos:R:3 pbc="T T T"
Ce 0.000 0.000 0.000
Ce 0.000 0.000 3.908
H 0.000 4.622 0.395
H 0.000 4.622 3.513
H 4.003 2.311 4.304
H 4.003 2.311 7.422
Br 0.000 2.195 5.863
Br -2.102 5.836 5.863
Br 1.901 1.097 1.954
Br 2.102 5.836 5.863
Br 6.105 1.097 1.954
Br 4.003 4.739 1.954
```

Largest 12 diffraction maxima, in order of rising 2θ, 5° ≤ 2θ ≤ 70°:
2θ 12.77, I = 100, hkl 1 0 0
2θ 17.09, I = 11, hkl 1 0 1
2θ 28.16, I = 38, hkl 2 0 1
2θ 32.00, I = 29, hkl 1 1 2
2θ 34.22, I = 11, hkl 2 1 0
2θ 34.58, I = 33, hkl 2 0 2
2θ 41.49, I = 9, hkl 2 1 2
2θ 43.45, I = 11, hkl 2 0 3
2θ 45.31, I = 16, hkl 2 2 0
2θ 45.60, I = 11, hkl 3 0 2
2θ 47.27, I = 7, hkl 3 1 0
2θ 66.92, I = 10, hkl 2 2 4